[1]
For PaSiTc2, a DFT-relaxed cell (PBE, the Materials Project) gives the calculated PXRD pattern in this record (copper Kα).

Cell and atoms:
```
PaSiTc2
1.0
0.0000 3.2362 3.2362
3.2362 0.0000 3.2362
3.2362 3.2362 0.0000
Pa Si Tc
1 1 2
Direct
0.0000 0.0000 0.0000
0.5000 0.5000 0.5000
0.2500 0.2500 0.2500
0.7500 0.7500 0.7500
```

Main lines, low angle first (2θ from 5° to 70°):
2θ/deg	intensity
23.81	44.5
27.56	1.6
39.38	100.0
46.54	24.0
48.74	0.6
56.91	17.1
62.56	10.2
64.37	0.9



[2]
For Gd2InGe2, a DFT-relaxed cell (PBE, the Materials Project) gives the calculated PXRD pattern in this record (copper Kα).

Cell and atoms:
```
Gd2InGe2
1.0
7.4726 0.0000 0.0000
0.0000 7.4726 0.0000
0.0000 0.0000 4.2810
Gd In Ge
4 2 4
Direct
0.1782 0.3218 0.0000
0.3218 0.8218 0.0000
0.6782 0.1782 0.0000
0.8218 0.6782 0.0000
0.0000 0.0000 0.5000
0.5000 0.5000 0.5000
0.1218 0.6218 0.5000
0.3782 0.1218 0.5000
0.6218 0.8782 0.5000
0.8782 0.3782 0.5000
```

Main lines, low angle first (2θ from 5° to 70°):
2θ/deg	intensity
31.79	57.0
33.93	13.5
34.03	100.0
38.08	36.3
42.22	21.9
55.01	19.7
56.50	13.3
58.15	20.7



[3]
For Cr3Ga, a DFT-relaxed cell (PBE, the Materials Project) gives the calculated PXRD pattern in this record (copper Kα).

Cell and atoms:
```
Cr3Ga
1.0
4.5972 0.0000 0.0000
0.0000 4.5972 0.0000
0.0000 0.0000 4.5972
Cr Ga
6 2
Direct
0.0000 0.2500 0.5000
0.0000 0.7500 0.5000
0.2500 0.5000 0.0000
0.5000 0.0000 0.2500
0.5000 0.0000 0.7500
0.7500 0.5000 0.0000
0.0000 0.0000 0.0000
0.5000 0.5000 0.5000
```

Main lines, low angle first (2θ from 5° to 70°):
2θ/deg	intensity
27.44	5.4
39.19	47.8
44.04	94.0
48.51	100.0
56.63	1.0
64.05	1.4



[4]
For Na4MgTi2Ge2O10, a DFT-relaxed cell (PBE, the Materials Project) gives the calculated PXRD pattern in this record (copper Kα).

Cell and atoms:
```
Na4MgTi2Ge2O10
1.0
6.8789 0.0000 0.0000
0.0000 6.8789 0.0000
0.0000 0.0000 5.4851
Na Mg Ti Ge O
4 1 2 2 10
Direct
0.2169 0.2169 0.0000
0.2169 0.7831 0.0000
0.7831 0.2169 0.0000
0.7831 0.7831 0.0000
0.5000 0.5000 0.0000
0.0000 0.5000 0.3743
0.5000 0.0000 0.6257
0.0000 0.0000 0.5000
0.5000 0.5000 0.5000
0.0000 0.2064 0.3053
0.0000 0.5000 0.6872
0.0000 0.7936 0.3053
0.2064 0.0000 0.6947
0.2683 0.5000 0.2227
0.5000 0.0000 0.3128
0.5000 0.2683 0.7773
0.5000 0.7317 0.7773
0.7317 0.5000 0.2227
0.7936 0.0000 0.6947
```

Main lines, low angle first (2θ from 5° to 70°):
2θ/deg	intensity
16.16	19.8
20.71	28.7
25.90	44.2
30.68	100.0
36.96	24.0
37.65	21.9
50.13	30.0
53.27	24.1